Entry 1:
Structure and simulated powder XRD pattern of Sm4N3 (a structure optimized by DFT (GGA-PBE); Cu Kα (λ = 1.5418 Å)).
Neutral-atom scattering factors, no anomalous dispersion.

Structure:
```
data_Sm4N3
_chemical_formula_sum 'Sm4 N3'
_space_group_name_H-M_alt 'P m -3 m'
_space_group_IT_number 221
_space_group_name_Hall '-P 4 2 3'
_cell_length_a 5.0675
_cell_length_b 5.0675
_cell_length_c 5.0675
_cell_angle_alpha 90.00
_cell_angle_beta 90.00
_cell_angle_gamma 90.00
loop_
_atom_site_label
_atom_site_type_symbol
_atom_site_fract_x
_atom_site_fract_y
_atom_site_fract_z
Sm1 Sm 0.0000 0.0000 0.0000
Sm2 Sm 0.0000 0.5000 0.5000
N1 N 0.0000 0.0000 0.5000
```

The 6 most intense peaks (2θ from 10° to 90°), sorted by position:
hkl 1 1 1, 2.926 Å, I 100; hkl 2 0 0, 2.534 Å, I 67; hkl 2 2 0, 1.792 Å, I 47; hkl 3 1 1, 1.528 Å, I 45; hkl 3 3 1, 1.163 Å, I 19; hkl 4 2 0, 1.133 Å, I 21

Entry 2:
Structure and simulated powder XRD pattern of TeAuI2O (a structure optimized by DFT (GGA-PBE); Cu Kα (λ = 1.5418 Å)).
Neutral-atom scattering factors, no anomalous dispersion.

Structure:
```
data_TeAuI2O
_chemical_formula_sum 'Te1 Au1 I2 O1'
_space_group_name_H-M_alt 'P 4/m m m'
_space_group_IT_number 123
_space_group_name_Hall '-P 4 2'
_cell_length_a 6.0776
_cell_length_b 6.0776
_cell_length_c 4.0352
_cell_angle_alpha 90.00
_cell_angle_beta 90.00
_cell_angle_gamma 90.00
loop_
_atom_site_label
_atom_site_type_symbol
_atom_site_fract_x
_atom_site_fract_y
_atom_site_fract_z
Te1 Te 0.0000 0.0000 0.0000
Au1 Au 0.5000 0.5000 0.5000
I1 I 0.0000 0.5000 0.0000
O1 O 0.0000 0.0000 0.5000
```

The 6 most intense peaks (2θ from 10° to 90°), sorted by position:
hkl 1 0 1, 3.362 Å, I 69; hkl 2 0 0, 3.039 Å, I 100; hkl 1 1 1, 2.942 Å, I 62; hkl 2 1 1, 2.254 Å, I 47; hkl 2 2 0, 2.149 Å, I 38; hkl 2 0 2, 1.681 Å, I 35

Entry 3:
Structure and simulated powder XRD pattern of CsHg4Au (a structure optimized by DFT (GGA-PBE); Cu Kα (λ = 1.5418 Å)).
Neutral-atom scattering factors, no anomalous dispersion.

Structure:
```
data_CsHg4Au
_chemical_formula_sum 'Cs4 Hg16 Au4'
_space_group_name_H-M_alt 'C m c m'
_space_group_IT_number 63
_space_group_name_Hall '-C 2c 2'
_cell_length_a 5.1704
_cell_length_b 19.0989
_cell_length_c 7.8875
_cell_angle_alpha 90.00
_cell_angle_beta 90.00
_cell_angle_gamma 90.00
loop_
_atom_site_label
_atom_site_type_symbol
_atom_site_fract_x
_atom_site_fract_y
_atom_site_fract_z
Cs1 Cs 0.0000 0.1247 0.2500
Hg1 Hg 0.0000 0.0690 0.7500
Hg2 Hg 0.0000 0.3132 0.0541
Hg3 Hg 0.0000 0.5000 0.0000
Au1 Au 0.0000 0.2221 0.7500
```

The 6 most intense peaks (2θ from 10° to 90°), sorted by position:
hkl 1 1 2, 3.094 Å, I 100; hkl 1 5 0, 3.072 Å, I 48; hkl 1 5 1, 2.863 Å, I 40; hkl 2 0 0, 2.585 Å, I 50; hkl 0 6 2, 2.477 Å, I 34; hkl 1 1 3, 2.326 Å, I 30

Entry 4:
Structure and simulated powder XRD pattern of SrTcBi2Ir (a structure optimized by DFT (GGA-PBE); Cu Kα (λ = 1.5418 Å)).
Neutral-atom scattering factors, no anomalous dispersion.

Structure:
```
data_SrTcBi2Ir
_chemical_formula_sum 'Sr1 Tc1 Bi2 Ir1'
_space_group_name_H-M_alt 'P 4/m m m'
_space_group_IT_number 123
_space_group_name_Hall '-P 4 2'
_cell_length_a 5.3083
_cell_length_b 5.3083
_cell_length_c 4.9662
_cell_angle_alpha 90.00
_cell_angle_beta 90.00
_cell_angle_gamma 90.00
loop_
_atom_site_label
_atom_site_type_symbol
_atom_site_fract_x
_atom_site_fract_y
_atom_site_fract_z
Sr1 Sr 0.0000 0.0000 0.0000
Tc1 Tc 0.5000 0.5000 0.5000
Bi1 Bi 0.0000 0.5000 0.5000
Ir1 Ir 0.5000 0.5000 0.0000
```

The 6 most intense peaks (2θ from 10° to 90°), sorted by position:
hkl 1 1 1, 2.994 Å, I 100; hkl 2 0 0, 2.654 Å, I 66; hkl 0 0 2, 2.483 Å, I 27; hkl 2 2 0, 1.877 Å, I 24; hkl 2 0 2, 1.813 Å, I 43; hkl 3 1 1, 1.590 Å, I 32